Structure and simulated powder diffractogram of RbNbF6 (a structure optimized by DFT (PBE); Cu Kα, 1.54184 Å).
Lines closer than 0.1° are merged.

The 12 most intense peaks (10° ≤ 2θ ≤ 90°), low angle first:
- 2θ = 24.86°, I = 74.2
- 2θ = 25.79°, I = 100.0
- 2θ = 38.07°, I = 19.1
- 2θ = 44.35°, I = 58.3
- 2θ = 46.04°, I = 21.1
- 2θ = 50.99°, I = 15.9
- 2θ = 53.02°, I = 16.7
- 2θ = 58.01°, I = 15.6
- 2θ = 61.70°, I = 11.1
- 2θ = 69.85°, I = 10.3
- 2θ = 71.12°, I = 15.2
- 2θ = 73.21°, I = 10.6

Atomic structure:
Unit cell a=5.066 b=5.066 c=9.446 alpha=90.00 beta=90.00 gamma=90.00
Fractional positions:
Rb 0.000 0.000 0.000
Rb 0.000 0.000 0.500
Nb 0.500 0.500 0.250
Nb 0.500 0.500 0.750
F 0.229 0.229 0.250
F 0.229 0.771 0.750
F 0.307 0.324 0.605
F 0.307 0.676 0.105
F 0.324 0.307 0.895
F 0.324 0.693 0.395
F 0.676 0.307 0.395
F 0.676 0.693 0.895
F 0.693 0.324 0.105
F 0.693 0.676 0.605
F 0.771 0.229 0.750
F 0.771 0.771 0.250

***

Structure and simulated powder diffractogram of HfTlAgTeSeS (a structure optimized by DFT (PBE); Cu Kα, 1.54184 Å).
Lines closer than 0.1° are merged.

The 12 most intense peaks (10° ≤ 2θ ≤ 90°), low angle first:
- 2θ = 11.94°, I = 29.2
- 2θ = 17.91°, I = 26.7
- 2θ = 24.25°, I = 20.3
- 2θ = 27.81°, I = 27.8
- 2θ = 31.14°, I = 100.0
- 2θ = 32.02°, I = 22.5
- 2θ = 34.12°, I = 42.9
- 2θ = 35.36°, I = 31.0
- 2θ = 39.87°, I = 22.9
- 2θ = 44.39°, I = 19.4
- 2θ = 45.16°, I = 29.2
- 2θ = 53.27°, I = 22.8

Atomic structure:
Unit cell a=8.239 b=4.015 c=10.480 alpha=90.00 beta=109.08 gamma=90.00
Fractional positions:
Hf 0.213 0.250 0.178
Hf 0.787 0.750 0.822
Tl 0.232 0.750 0.683
Tl 0.768 0.250 0.317
Ag 0.438 0.750 0.396
Ag 0.562 0.250 0.604
Te 0.066 0.250 0.870
Te 0.934 0.750 0.130
Se 0.411 0.750 0.139
Se 0.589 0.250 0.861
S 0.243 0.250 0.419
S 0.757 0.750 0.581

***

Structure and simulated powder diffractogram of DyTmSn4 (a structure optimized by DFT (PBE); Cu Kα, 1.54184 Å).
Lines closer than 0.1° are merged.

The 12 most intense peaks (10° ≤ 2θ ≤ 90°), low angle first:
- 2θ = 33.01°, I = 20.4
- 2θ = 33.33°, I = 100.0
- 2θ = 39.16°, I = 5.4
- 2θ = 40.89°, I = 15.5
- 2θ = 41.64°, I = 14.7
- 2θ = 53.52°, I = 10.6
- 2θ = 54.13°, I = 10.3
- 2θ = 59.16°, I = 10.5
- 2θ = 59.78°, I = 10.4
- 2θ = 69.66°, I = 12.4
- 2θ = 70.01°, I = 9.7
- 2θ = 70.72°, I = 11.9

Atomic structure:
Unit cell a=4.338 b=4.414 c=16.281 alpha=90.00 beta=90.00 gamma=90.00
Fractional positions:
Dy 0.000 0.000 0.000
Dy 0.000 0.500 0.500
Tm 0.500 0.000 0.803
Tm 0.500 0.500 0.303
Sn 0.000 0.000 0.337
Sn 0.000 0.000 0.650
Sn 0.000 0.500 0.150
Sn 0.000 0.500 0.837
Sn 0.500 0.000 0.154
Sn 0.500 0.000 0.465
Sn 0.500 0.500 0.654
Sn 0.500 0.500 0.965

***

Structure and simulated powder diffractogram of Cu5Ag4 (a structure optimized by DFT (PBE); Cu Kα, 1.54184 Å).
Lines closer than 0.1° are merged.

The 12 most intense peaks (10° ≤ 2θ ≤ 90°), low angle first:
- 2θ = 40.30°, I = 100.0
- 2θ = 40.49°, I = 32.8
- 2θ = 46.32°, I = 44.3
- 2θ = 48.14°, I = 18.7
- 2θ = 67.39°, I = 6.8
- 2θ = 67.80°, I = 6.5
- 2θ = 68.93°, I = 11.6
- 2θ = 69.12°, I = 11.8
- 2θ = 81.62°, I = 15.1
- 2θ = 81.81°, I = 7.2
- 2θ = 82.00°, I = 7.3
- 2θ = 84.39°, I = 9.3

Atomic structure:
Unit cell a=7.173 b=7.173 c=8.041 alpha=123.06 beta=123.06 gamma=22.34
Fractional positions:
Cu 0.000 0.000 0.000
Cu 0.108 0.108 0.637
Cu 0.549 0.549 0.328
Cu 0.767 0.767 0.656
Cu 0.894 0.894 0.327
Ag 0.216 0.216 0.329
Ag 0.337 0.337 0.990
Ag 0.439 0.439 0.656
Ag 0.661 0.661 0.980

***

Structure and simulated powder diffractogram of Rb2Tm4Cu4Te9 (a structure optimized by DFT (PBE); Cu Kα, 1.54184 Å).
Lines closer than 0.1° are merged.

The 12 most intense peaks (10° ≤ 2θ ≤ 90°), low angle first:
- 2θ = 12.20°, I = 74.4
- 2θ = 25.75°, I = 44.6
- 2θ = 26.95°, I = 79.3
- 2θ = 27.40°, I = 100.0
- 2θ = 27.58°, I = 57.2
- 2θ = 28.89°, I = 52.0
- 2θ = 29.23°, I = 81.1
- 2θ = 31.75°, I = 46.9
- 2θ = 36.11°, I = 41.8
- 2θ = 39.32°, I = 43.7
- 2θ = 41.52°, I = 88.2
- 2θ = 42.25°, I = 42.0

Atomic structure:
Unit cell a=7.948 b=7.948 c=17.489 alpha=107.68 beta=107.68 gamma=31.76
Fractional positions:
Rb 0.035 0.035 0.273
Rb 0.965 0.965 0.727
Tm 0.227 0.227 0.100
Tm 0.345 0.345 0.442
Tm 0.655 0.655 0.558
Tm 0.773 0.773 0.900
Cu 0.245 0.245 0.733
Cu 0.422 0.422 0.024
Cu 0.578 0.578 0.976
Cu 0.755 0.755 0.267
Te 0.000 0.000 0.500
Te 0.136 0.136 0.921
Te 0.299 0.299 0.602
Te 0.352 0.352 0.274
Te 0.397 0.397 0.870
Te 0.603 0.603 0.130
Te 0.648 0.648 0.726
Te 0.701 0.701 0.398
Te 0.864 0.864 0.079

***

Structure and simulated powder diffractogram of ZrW2C3 (a structure optimized by DFT (PBE); Cu Kα, 1.54184 Å).
Lines closer than 0.1° are merged.

The 12 most intense peaks (10° ≤ 2θ ≤ 90°), low angle first:
- 2θ = 11.35°, I = 22.8
- 2θ = 32.71°, I = 4.8
- 2θ = 34.53°, I = 32.7
- 2θ = 34.73°, I = 100.0
- 2θ = 40.26°, I = 88.3
- 2θ = 58.11°, I = 28.4
- 2θ = 58.38°, I = 28.1
- 2θ = 69.38°, I = 15.0
- 2θ = 69.63°, I = 26.8
- 2θ = 69.75°, I = 13.9
- 2θ = 73.30°, I = 14.8
- 2θ = 86.99°, I = 9.3

Atomic structure:
Unit cell a=3.161 b=3.161 c=7.793 alpha=90.00 beta=90.00 gamma=120.00
Fractional positions:
Zr 0.000 0.000 0.000
W 0.333 0.667 0.662
W 0.667 0.333 0.338
C 0.000 0.000 0.500
C 0.333 0.667 0.184
C 0.667 0.333 0.816

***

Structure and simulated powder diffractogram of Ho3Se3N (a structure optimized by DFT (PBE); Cu Kα, 1.54184 Å).
Lines closer than 0.1° are merged.

The 12 most intense peaks (10° ≤ 2θ ≤ 90°), low angle first:
- 2θ = 12.06°, I = 10.9
- 2θ = 15.94°, I = 12.6
- 2θ = 19.17°, I = 8.7
- 2θ = 27.39°, I = 11.7
- 2θ = 27.77°, I = 24.2
- 2θ = 27.94°, I = 11.8
- 2θ = 31.00°, I = 100.0
- 2θ = 35.50°, I = 24.8
- 2θ = 39.44°, I = 10.6
- 2θ = 42.48°, I = 19.9
- 2θ = 46.28°, I = 17.7
- 2θ = 47.85°, I = 27.1

Atomic structure:
Unit cell a=7.678 b=7.678 c=12.530 alpha=106.91 beta=106.91 gamma=82.33
Fractional positions:
Ho 0.021 0.339 0.883
Ho 0.063 0.788 0.877
Ho 0.212 0.937 0.623
Ho 0.248 0.392 0.613
Ho 0.339 0.021 0.383
Ho 0.392 0.248 0.113
Ho 0.608 0.752 0.887
Ho 0.661 0.979 0.617
Ho 0.752 0.608 0.387
Ho 0.788 0.063 0.377
Ho 0.937 0.212 0.123
Ho 0.979 0.661 0.117
Se 0.041 0.307 0.372
Se 0.074 0.780 0.373
Se 0.220 0.926 0.127
Se 0.307 0.041 0.872
Se 0.335 0.504 0.860
Se 0.496 0.665 0.640
Se 0.504 0.335 0.360
Se 0.665 0.496 0.140
Se 0.693 0.959 0.128
Se 0.780 0.074 0.873
Se 0.926 0.220 0.627
Se 0.959 0.693 0.628
N 0.110 0.375 0.076
N 0.375 0.110 0.576
N 0.625 0.890 0.424
N 0.890 0.625 0.924

***

Structure and simulated powder diffractogram of Rb2Hg2PdBr2Cl6 (a structure optimized by DFT (PBE); Cu Kα, 1.54184 Å).
Lines closer than 0.1° are merged.

The 12 most intense peaks (10° ≤ 2θ ≤ 90°), low angle first:
- 2θ = 15.03°, I = 38.5
- 2θ = 15.65°, I = 37.9
- 2θ = 18.94°, I = 51.0
- 2θ = 25.64°, I = 66.4
- 2θ = 26.17°, I = 43.2
- 2θ = 27.36°, I = 35.8
- 2θ = 29.42°, I = 100.0
- 2θ = 32.13°, I = 36.6
- 2θ = 32.87°, I = 46.7
- 2θ = 38.42°, I = 33.3
- 2θ = 46.51°, I = 32.0
- 2θ = 47.64°, I = 36.8

Atomic structure:
Unit cell a=6.826 b=6.826 c=10.132 alpha=105.85 beta=105.85 gamma=61.18
Fractional positions:
Rb 0.110 0.110 0.341
Rb 0.890 0.890 0.659
Hg 0.371 0.371 0.106
Hg 0.629 0.629 0.894
Pd 0.500 0.500 0.500
Br 0.149 0.149 0.998
Br 0.851 0.851 0.002
Cl 0.136 0.607 0.368
Cl 0.393 0.864 0.632
Cl 0.417 0.417 0.809
Cl 0.583 0.583 0.191
Cl 0.607 0.136 0.368
Cl 0.864 0.393 0.632

***

Structure and simulated powder diffractogram of Li3Pr2HoPb3 (a structure optimized by DFT (PBE); Cu Kα, 1.54184 Å).
Lines closer than 0.1° are merged.

The 12 most intense peaks (10° ≤ 2θ ≤ 90°), low angle first:
- 2θ = 21.01°, I = 11.4
- 2θ = 22.50°, I = 51.1
- 2θ = 26.49°, I = 26.8
- 2θ = 32.13°, I = 100.0
- 2θ = 36.82°, I = 66.7
- 2θ = 38.80°, I = 16.4
- 2θ = 49.66°, I = 30.0
- 2θ = 63.02°, I = 27.5
- 2θ = 63.39°, I = 29.0
- 2θ = 66.32°, I = 12.2
- 2θ = 86.86°, I = 11.9
- 2θ = 87.19°, I = 12.6

Atomic structure:
Unit cell a=4.882 b=4.882 c=11.107 alpha=90.00 beta=90.00 gamma=120.00
Fractional positions:
Li 0.000 0.000 0.000
Li 0.333 0.667 0.321
Li 0.333 0.667 0.679
Pr 0.667 0.333 0.169
Pr 0.667 0.333 0.831
Ho 0.667 0.333 0.500
Pb 0.000 0.000 0.340
Pb 0.000 0.000 0.660
Pb 0.333 0.667 0.000

***

Structure and simulated powder diffractogram of Nd2In2Pd3Pt (a structure optimized by DFT (PBE); Cu Kα, 1.54184 Å).
Lines closer than 0.1° are merged.

The 12 most intense peaks (10° ≤ 2θ ≤ 90°), low angle first:
- 2θ = 19.28°, I = 8.0
- 2θ = 22.07°, I = 12.8
- 2θ = 29.47°, I = 26.0
- 2θ = 36.82°, I = 100.0
- 2θ = 38.72°, I = 96.4
- 2θ = 54.50°, I = 32.2
- 2θ = 65.05°, I = 15.6
- 2θ = 68.84°, I = 31.7
- 2θ = 70.08°, I = 16.5
- 2θ = 74.02°, I = 8.7
- 2θ = 78.34°, I = 9.2
- 2θ = 83.06°, I = 10.5

Atomic structure:
Unit cell a=4.651 b=4.651 c=9.206 alpha=90.00 beta=90.00 gamma=120.00
Fractional positions:
Nd 0.000 0.000 0.000
Nd 0.333 0.667 0.506
In 0.667 0.333 0.255
In 0.667 0.333 0.756
Pd 0.000 0.000 0.338
Pd 0.000 0.000 0.667
Pd 0.333 0.667 0.172
Pt 0.333 0.667 0.839

***

Structure and simulated powder diffractogram of CuH14C4S2N2Cl4 (a structure optimized by DFT (PBE); Cu Kα, 1.54184 Å).
Lines closer than 0.1° are merged.

The 12 most intense peaks (10° ≤ 2θ ≤ 90°), low angle first:
- 2θ = 13.27°, I = 79.3
- 2θ = 14.41°, I = 37.2
- 2θ = 14.72°, I = 39.6
- 2θ = 15.61°, I = 33.6
- 2θ = 15.86°, I = 35.3
- 2θ = 18.41°, I = 34.6
- 2θ = 19.12°, I = 100.0
- 2θ = 22.25°, I = 44.0
- 2θ = 23.81°, I = 35.1
- 2θ = 25.55°, I = 27.9
- 2θ = 28.98°, I = 32.9
- 2θ = 29.14°, I = 27.4

Atomic structure:
Unit cell a=12.365 b=7.140 c=19.017 alpha=90.00 beta=100.69 gamma=90.00
Fractional positions:
Cu 0.237 0.000 0.028
Cu 0.763 0.000 0.972
H 0.012 0.441 0.765
H 0.032 0.038 0.006
H 0.056 0.324 0.176
H 0.064 0.717 0.191
H 0.128 0.440 0.544
H 0.141 0.898 0.400
H 0.162 0.366 0.673
H 0.242 0.548 0.357
H 0.366 0.270 0.803
H 0.370 0.498 0.811
H 0.375 0.191 0.370
H 0.387 0.282 0.691
H 0.392 0.104 0.130
H 0.397 0.526 0.698
H 0.603 0.526 0.302
H 0.608 0.104 0.870
H 0.613 0.282 0.309
H 0.625 0.191 0.630
H 0.630 0.498 0.189
H 0.634 0.270 0.197
H 0.758 0.548 0.643
H 0.838 0.366 0.327
H 0.859 0.898 0.600
H 0.872 0.440 0.456
H 0.936 0.717 0.809
H 0.944 0.324 0.824
H 0.968 0.038 0.994
H 0.988 0.441 0.235
C 0.151 0.388 0.271
C 0.186 0.428 0.341
C 0.236 0.421 0.656
C 0.344 0.407 0.707
C 0.656 0.407 0.293
C 0.764 0.421 0.344
C 0.814 0.428 0.659
C 0.849 0.388 0.729
S 0.159 0.268 0.401
S 0.231 0.496 0.572
S 0.769 0.496 0.428
S 0.841 0.268 0.599
N 0.061 0.391 0.224
N 0.330 0.391 0.781
N 0.670 0.391 0.219
N 0.939 0.391 0.776
Cl 0.019 0.877 0.175
Cl 0.086 0.793 0.436
Cl 0.454 0.089 0.402
Cl 0.467 0.030 0.180
Cl 0.533 0.030 0.820
Cl 0.546 0.089 0.598
Cl 0.914 0.793 0.564
Cl 0.981 0.877 0.825

***

Structure and simulated powder diffractogram of KTa4HO5 (a structure optimized by DFT (PBE); Cu Kα, 1.54184 Å).
Lines closer than 0.1° are merged.

The 12 most intense peaks (10° ≤ 2θ ≤ 90°), low angle first:
- 2θ = 11.12°, I = 100.0
- 2θ = 21.26°, I = 40.8
- 2θ = 31.03°, I = 62.1
- 2θ = 32.31°, I = 46.6
- 2θ = 37.92°, I = 74.5
- 2θ = 43.29°, I = 50.9
- 2θ = 45.59°, I = 21.6
- 2θ = 45.97°, I = 19.1
- 2θ = 54.21°, I = 25.4
- 2θ = 62.89°, I = 16.3
- 2θ = 64.68°, I = 29.6
- 2θ = 75.84°, I = 22.2

Atomic structure:
Unit cell a=4.180 b=4.180 c=7.960 alpha=90.00 beta=90.00 gamma=90.00
Fractional positions:
K 0.000 0.000 0.000
Ta 0.000 0.500 0.500
Ta 0.500 0.000 0.500
Ta 0.500 0.500 0.249
Ta 0.500 0.500 0.751
H 0.500 0.500 0.000
O 0.000 0.000 0.500
O 0.000 0.500 0.235
O 0.000 0.500 0.765
O 0.500 0.000 0.235
O 0.500 0.000 0.765